Entry 1:
Structure and computed PXRD pattern of Rb2NaYF6 (a PBE-relaxed structure; a wavelength of 1.5418 Å).
Neutral-atom scattering factors, no anomalous dispersion.

Atomic structure:
```
Rb2NaYF6
1.0
0.0000 4.5134 4.5134
4.5134 0.0000 4.5134
4.5134 4.5134 0.0000
Rb Na Y F
2 1 1 6
Cartesian
2.2567 2.2567 2.2567
6.7701 6.7701 6.7701
0.0000 0.0000 0.0000
4.5134 4.5134 4.5134
4.5134 4.5134 2.3244
4.5134 2.3244 4.5134
6.7024 4.5134 4.5134
2.3244 4.5134 4.5134
4.5134 6.7024 4.5134
4.5134 4.5134 6.7024
```

Principal peaks in the range 2θ from 10° to 80°, most intense first:
two_theta, I_rel
27.96, 100
39.95, 50
49.47, 41
57.78, 30
79.45, 21
34.42, 19

=====

Entry 2:
Structure and computed PXRD pattern of Na3RhF6 (a PBE-relaxed structure; a wavelength of 1.5418 Å).
Neutral-atom scattering factors, no anomalous dispersion.

Atomic structure:
```
Na3RhF6
1.0
0.0000 4.1753 4.1753
4.1753 0.0000 4.1753
4.1753 4.1753 0.0000
Na Rh F
3 1 6
Cartesian
0.0000 0.0000 0.0000
2.0876 2.0876 2.0876
6.2629 6.2629 6.2629
4.1753 4.1753 4.1753
4.1753 4.1753 2.1785
4.1753 2.1785 4.1753
6.1720 4.1753 4.1753
2.1785 4.1753 4.1753
4.1753 6.1720 4.1753
4.1753 4.1753 6.1720
```

Principal peaks in the range 2θ from 10° to 80°, most intense first:
two_theta, I_rel
30.27, 100
21.28, 95
18.40, 95
43.34, 79
62.97, 44
35.66, 40

=====

Entry 3:
Structure and computed PXRD pattern of NaSbF4 (a PBE-relaxed structure; a wavelength of 1.5418 Å).
Neutral-atom scattering factors, no anomalous dispersion.

Atomic structure:
```
NaSbF4
1.0
8.1620 0.0000 0.0000
0.0000 5.7078 0.0000
-0.0870 0.0000 8.6350
Na Sb F
4 4 16
Cartesian
1.1495 1.1978 2.8905
1.1060 1.6561 7.2080
6.9691 4.0517 1.4270
6.9256 4.5100 5.7445
2.6787 4.0528 1.2937
2.6352 4.5089 5.6112
5.4399 1.1989 3.0238
5.3964 1.6550 7.3413
0.8614 3.5624 5.8206
0.9048 4.9993 1.5031
1.4296 0.4153 5.0709
1.4730 2.4386 0.7534
2.3480 3.2234 3.0874
2.3045 5.3383 7.4049
3.2493 0.0254 2.5481
3.2058 2.8285 6.8656
4.8692 2.8793 1.7694
4.8257 5.6824 6.0869
5.7706 0.3695 1.2301
5.7271 2.4844 5.5476
6.6020 3.2692 7.8817
6.6455 5.2925 3.5642
7.1702 0.7085 7.1319
7.2137 2.1454 2.8144
```

Principal peaks in the range 2θ from 10° to 80°, most intense first:
two_theta, I_rel
18.97, 100
25.87, 91
26.86, 70
23.21, 41
21.78, 36
10.84, 33

=====

Entry 4:
Structure and computed PXRD pattern of NaSbF6 (a PBE-relaxed structure; a wavelength of 1.5418 Å).
Neutral-atom scattering factors, no anomalous dispersion.

Atomic structure:
```
NaSbF6
1.0
8.3551 0.0000 0.0000
0.0000 8.3551 0.0000
0.0000 0.0000 8.3551
Na Sb F
4 4 24
Cartesian
0.0000 0.0000 0.0000
0.0000 4.1775 4.1775
4.1775 0.0000 4.1775
4.1775 4.1775 0.0000
0.0000 0.0000 4.1775
0.0000 4.1775 0.0000
4.1775 0.0000 0.0000
4.1775 4.1775 4.1775
0.3169 0.3905 6.0298
0.3169 3.7870 1.8523
0.3905 6.0298 0.3169
0.3905 6.5028 4.4944
1.8523 0.3169 3.7870
1.8523 3.8606 7.9645
2.3253 4.4944 3.7870
2.3253 8.0381 7.9645
3.7870 1.8523 0.3169
3.7870 2.3253 4.4944
3.8606 4.5680 6.0298
3.8606 7.9645 1.8523
4.4944 0.3905 6.5028
4.4944 3.7870 2.3253
4.5680 6.0298 3.8606
4.5680 6.5028 8.0381
6.0298 0.3169 0.3905
6.0298 3.8606 4.5680
6.5028 4.4944 0.3905
6.5028 8.0381 4.5680
7.9645 1.8523 3.8606
7.9645 2.3253 8.0381
8.0381 4.5680 6.5028
8.0381 7.9645 2.3253
```

Principal peaks in the range 2θ from 10° to 80°, most intense first:
two_theta, I_rel
21.27, 100
18.39, 80
48.74, 38
30.26, 31
35.64, 25
43.32, 21

=====

Entry 5:
Structure and computed PXRD pattern of Na2SbF5 (a PBE-relaxed structure; a wavelength of 1.5418 Å).
Neutral-atom scattering factors, no anomalous dispersion.

Atomic structure:
```
Na2SbF5
1.0
5.5562 0.0000 0.0000
0.0000 8.2401 0.0000
0.0000 0.0000 11.4180
Na Sb F
8 4 20
Cartesian
0.0603 0.8442 2.7328
0.3900 5.3043 10.6773
2.3881 2.9358 4.9683
2.7178 7.3958 8.4419
2.8384 3.2758 8.6852
3.1681 7.0558 0.7407
5.1662 1.1843 6.4497
5.4958 4.9643 2.9762
0.0125 0.6211 10.0963
2.7656 7.6189 4.3873
2.7906 3.4989 1.3217
5.5436 4.7412 7.0307
0.6117 0.0707 8.1640
0.8051 4.5725 5.0678
0.9852 2.9185 2.2663
1.0112 2.9996 7.1453
1.2659 0.8358 4.8825
1.5122 7.4042 10.5915
1.7669 5.2405 1.4363
1.7929 5.3216 7.9753
1.9730 3.6676 10.7768
2.1663 8.1694 2.4550
3.3898 4.0494 3.2540
3.5832 7.7877 6.3502
3.7633 1.2015 9.1517
3.7893 1.1204 4.2727
4.0440 3.2842 6.5355
4.2902 4.9559 0.8265
4.5450 7.1197 9.9818
4.5710 7.0386 3.4427
4.7511 0.4524 0.6412
4.9444 4.1907 8.9630
```

Principal peaks in the range 2θ from 10° to 80°, most intense first:
two_theta, I_rel
18.91, 100
20.79, 85
26.94, 72
28.42, 54
17.75, 53
46.06, 39

=====

Entry 6:
Structure and computed PXRD pattern of NaSbF6 (a PBE-relaxed structure; a wavelength of 1.5418 Å).
Neutral-atom scattering factors, no anomalous dispersion.

Atomic structure:
```
NaSbF6
1.0
0.0000 4.2348 4.2348
4.2348 0.0000 4.2348
4.2348 4.2348 0.0000
Na Sb F
1 1 6
Cartesian
0.0000 0.0000 0.0000
4.2348 4.2348 4.2348
4.2348 4.2348 2.3177
4.2348 2.3177 4.2348
6.1519 4.2348 4.2348
2.3177 4.2348 4.2348
4.2348 6.1519 4.2348
4.2348 4.2348 6.1519
```

Principal peaks in the range 2θ from 10° to 80°, most intense first:
two_theta, I_rel
20.98, 100
18.14, 69
48.04, 38
42.70, 27
29.84, 27
35.14, 25

=====

Entry 7:
Structure and computed PXRD pattern of Na2SiF6 (a PBE-relaxed structure; a wavelength of 1.5418 Å).
Neutral-atom scattering factors, no anomalous dispersion.

Atomic structure:
```
Na2SiF6
1.0
9.3451 0.0000 0.0000
-4.6726 8.0931 0.0000
0.0000 0.0000 4.5820
Na Si F
6 3 18
Cartesian
-1.6035 2.7774 0.0000
-3.0690 5.3157 0.0000
3.2071 0.0000 0.0000
1.6035 2.7774 0.0000
6.1381 0.0000 0.0000
3.0690 5.3157 0.0000
0.0000 0.0000 0.0000
0.0000 5.3954 2.2913
4.6726 2.6977 2.2907
0.0000 1.4286 0.9593
-3.4353 7.3788 0.9593
-1.2263 4.6874 1.3008
1.2372 0.7143 3.6228
0.0000 3.9797 3.2731
-1.2261 6.1033 3.2731
1.2263 4.6874 1.3008
0.0000 6.8115 1.3008
3.4465 1.9898 1.3089
1.2261 6.1033 3.2731
4.6726 1.2817 3.2812
3.4462 3.4057 3.2812
5.8986 1.9898 1.3089
4.6726 4.1135 1.3089
3.4353 7.3788 0.9593
5.8989 3.4057 3.2812
8.1079 0.7143 3.6228
4.6726 6.6645 3.6228
```

Principal peaks in the range 2θ from 10° to 80°, most intense first:
two_theta, I_rel
38.73, 100
18.99, 63
52.40, 61
22.30, 54
27.26, 41
55.79, 37